Computed X-ray powder pattern
Compound: Rb2FeSCl6
Radiation: copper Kα
Structure: a structure optimized by DFT (PBE)
Kinematic intensities with the Lorentz-polarization factor, no thermal factor.

The 10 most intense peaks (2θ = 5–70°), most intense first:
| d (Å) | Position (°2θ) | I (rel.) |
| --- | --- | --- |
| 2.743 | 32.6 | 100 |
| 2.951 | 30.3 | 95 |
| 3.501 | 25.4 | 73 |
| 3.880 | 22.9 | 50 |
| 1.751 | 52.3 | 47 |
| 2.273 | 39.6 | 31 |
| 2.159 | 41.8 | 30 |
| 1.940 | 46.8 | 30 |
| 1.476 | 63.0 | 23 |
| 1.621 | 56.8 | 20 |

Cell and atoms:
a = 7.1261 Å, b = 7.1261 Å, c = 7.1261 Å
α = 114.02°, β = 114.02°, γ = 100.70°
Fractional positions:
Rb1 0.2500 0.7500 0.5000
Rb2 0.7500 0.2500 0.5000
Fe1 0.0000 0.0000 0.0000
S1 0.5000 0.5000 0.0000
Cl1 0.2166 0.2166 0.4332
Cl2 0.2166 0.7834 0.0000
Cl3 0.2571 0.2571 0.0000
Cl4 0.7429 0.7429 0.0000
Cl5 0.7834 0.2166 0.0000
Cl6 0.7834 0.7834 0.5668

***

Computed X-ray powder pattern
Compound: Mg3Ag3Sn
Radiation: copper Kα
Structure: a structure optimized by DFT (PBE)
Kinematic intensities with the Lorentz-polarization factor, no thermal factor.

The 10 most intense peaks (2θ = 5–70°), most intense first:
| d (Å) | Position (°2θ) | I (rel.) |
| --- | --- | --- |
| 2.333 | 38.6 | 100 |
| 2.650 | 33.8 | 28 |
| 2.459 | 36.5 | 26 |
| 7.012 | 12.6 | 25 |
| 4.026 | 22.1 | 20 |
| 1.530 | 60.5 | 19 |
| 1.394 | 67.2 | 18 |
| 1.802 | 50.6 | 18 |
| 3.506 | 25.4 | 12 |
| 3.125 | 28.6 | 11 |

Cell and atoms:
a = 8.0963 Å, b = 8.0963 Å, c = 4.9171 Å
α = 90.00°, β = 90.00°, γ = 120.00°
Fractional positions:
Mg1 0.0935 0.6458 0.2500
Mg2 0.3542 0.4477 0.2500
Mg3 0.4477 0.0935 0.7500
Mg4 0.5523 0.9065 0.2500
Mg5 0.6458 0.5523 0.7500
Mg6 0.9065 0.3542 0.7500
Ag1 0.0451 0.8124 0.7500
Ag2 0.1876 0.2327 0.7500
Ag3 0.2327 0.0451 0.2500
Ag4 0.7673 0.9549 0.7500
Ag5 0.8124 0.7673 0.2500
Ag6 0.9549 0.1876 0.2500
Sn1 0.3333 0.6667 0.7500
Sn2 0.6667 0.3333 0.2500

***

Computed X-ray powder pattern
Compound: Pr6Sm4Dy
Radiation: copper Kα
Structure: a structure optimized by DFT (PBE)
Kinematic intensities with the Lorentz-polarization factor, no thermal factor.

The 10 most intense peaks (2θ = 5–70°), most intense first:
| d (Å) | Position (°2θ) | I (rel.) |
| --- | --- | --- |
| 2.948 | 30.3 | 100 |
| 3.127 | 28.5 | 71 |
| 2.667 | 33.6 | 59 |
| 2.283 | 39.5 | 31 |
| 1.844 | 49.4 | 24 |
| 3.228 | 27.6 | 24 |
| 1.474 | 63.1 | 24 |
| 1.615 | 57.0 | 24 |
| 2.500 | 35.9 | 21 |
| 2.365 | 38.0 | 21 |

Cell and atoms:
a = 10.0212 Å, b = 10.0212 Å, c = 10.0212 Å
α = 141.01°, β = 141.01°, γ = 56.33°
Fractional positions:
Pr1 0.0000 0.5000 0.5000
Pr2 0.1891 0.1891 0.6422
Pr3 0.4531 0.8109 0.0000
Pr4 0.5000 0.0000 0.5000
Pr5 0.5469 0.5469 0.3578
Pr6 0.8109 0.4531 0.0000
Sm1 0.0108 0.6355 0.0000
Sm2 0.3645 0.3645 0.3753
Sm3 0.6355 0.0108 0.0000
Sm4 0.9892 0.9892 0.6247
Dy1 0.0000 0.0000 0.0000

***

Computed X-ray powder pattern
Compound: Tb6Dy3YTm2
Radiation: copper Kα
Structure: a structure optimized by DFT (PBE)
Kinematic intensities with the Lorentz-polarization factor, no thermal factor.

The 7 most intense peaks (2θ = 5–70°), most intense first:
| d (Å) | Position (°2θ) | I (rel.) |
| --- | --- | --- |
| 2.893 | 30.9 | 100 |
| 2.505 | 35.8 | 51 |
| 1.772 | 51.6 | 36 |
| 1.511 | 61.3 | 28 |
| 1.510 | 61.4 | 14 |
| 1.447 | 64.4 | 9 |
| 1.445 | 64.5 | 3 |

Cell and atoms:
a = 6.1388 Å, b = 6.1388 Å, c = 11.7358 Å
α = 94.98°, β = 94.98°, γ = 119.94°
Fractional positions:
Tb1 0.0821 0.4165 0.7507
Tb2 0.2491 0.2491 0.2493
Tb3 0.4165 0.0821 0.7507
Tb4 0.5835 0.9179 0.2493
Tb5 0.7509 0.7509 0.7507
Tb6 0.9179 0.5835 0.2493
Dy1 0.0000 0.0000 0.5000
Dy2 0.3333 0.6667 0.5000
Dy3 0.6667 0.3333 0.5000
Y1 0.5000 0.5000 0.0000
Tm1 0.1667 0.8333 0.0000
Tm2 0.8333 0.1667 0.0000